Simulated powder X-ray diffraction pattern
Compound: Nd6Dy12Th
Radiation: Cu Kα (weighted mean of Kα1 and Kα2)
Structure: a structure optimized by DFT (GGA-PBE)
Kinematic intensities with the Lorentz-polarization factor, no thermal factor.

Top 12 peaks for 2θ = 10–90°, by angle:
two_theta, I/Imax
28.7, 32
29.7, 60
31.3, 64
31.6, 61
31.7, 100
34.2, 50
34.4, 35
34.5, 31
49.8, 21
55.0, 30
56.7, 31
57.7, 20

Crystal structure
```
data_Nd6Dy12Th
_cell_length_a 13.3656
_cell_length_b 13.3656
_cell_length_c 12.4808
_cell_angle_alpha 90.00
_cell_angle_beta 90.00
_cell_angle_gamma 120.00
_symmetry_space_group_name_H-M 'R -3 m'
_symmetry_Int_Tables_number 166
_symmetry_space_group_name_Hall '-R 3 2"'
loop_
_atom_site_label
_atom_site_fract_x
_atom_site_fract_y
_atom_site_fract_z
_atom_site_occupancy
Nd1 0.0393 0.5196 0.1190 1
Dy1 0.0000 0.2555 0.0000 1
Dy2 0.0904 0.1809 0.7591 1
Th1 0.0000 0.0000 0.5000 1
```